Entry 1:
Diffraction record for Sr2LiNbS6. The PXRD pattern is calculated, not measured: it uses a crystal structure in OQMD, relaxed with GGA-PBE and Cu Kα, 1.54184 Å.
Neutral-atom scattering factors, no anomalous dispersion.

Main lines, in order of rising 2θ (2θ from 5° to 70°):
15.10°, I 83, hkl 0 1 1; 17.31°, I 59, hkl 1 0 -2; 26.02°, I 57, hkl 1 1 1; 26.69°, I 57, hkl 1 1 -3; 32.55°, I 67, hkl 2 1 -1; 37.19°, I 100, hkl 0 0 4

Atomic structure:
```
data_Sr2LiNbS6
_space_group_name_H-M_alt 'P 1 21/c 1'
_space_group_IT_number 14
_cell_length_a 6.1669
_cell_length_b 7.3804
_cell_length_c 11.3017
_cell_angle_alpha 90.00
_cell_angle_beta 121.18
_cell_angle_gamma 90.00
loop_
_space_group_symop_operation_xyz
'x,y,z'
'-x,-y,-z'
'-x,y+1/2,-z+1/2'
'x,-y+1/2,z+1/2'
loop_
_atom_site_label
_atom_site_fract_x
_atom_site_fract_y
_atom_site_fract_z
Sr1 0.2058 0.0933 0.2541
Li1 0.0000 0.0000 0.5000
Nb1 0.5000 0.0000 0.0000
S1 0.1330 0.1806 0.9642
S2 0.2853 0.7089 0.9675
S3 0.3259 0.0122 0.7515
```

---

Entry 2:
Diffraction record for Li3NbSe4. The PXRD pattern is calculated, not measured: it uses a crystal structure in OQMD, relaxed with GGA-PBE and Cu Kα, 1.54184 Å.
Neutral-atom scattering factors, no anomalous dispersion.

Main lines, in order of rising 2θ (2θ from 5° to 70°):
17.81°, I 89, hkl 1 1 0; 31.10°, I 100, hkl 2 1 1; 36.06°, I 96, hkl 2 2 0; 48.35°, I 59, hkl 3 2 1; 55.33°, I 74, hkl 3 3 0; 67.84°, I 30, hkl 5 1 0

Atomic structure:
```
data_Li3NbSe4
_space_group_name_H-M_alt 'I -4 3 m'
_space_group_IT_number 217
_space_group_name_Hall 'I -4 2 3'
_cell_length_a 7.0442
_cell_length_b 7.0442
_cell_length_c 7.0442
_cell_angle_alpha 90.00
_cell_angle_beta 90.00
_cell_angle_gamma 90.00
loop_
_atom_site_label
_atom_site_fract_x
_atom_site_fract_y
_atom_site_fract_z
Li1 0.0000 0.0000 0.5000
Nb1 0.0000 0.0000 0.0000
Se1 0.1983 0.1983 0.1983
```

---

Entry 3:
Diffraction record for Li2TaNb. The PXRD pattern is calculated, not measured: it uses a crystal structure in OQMD, relaxed with GGA-PBE and Cu Kα, 1.54184 Å.
Neutral-atom scattering factors, no anomalous dispersion.

Main lines, in order of rising 2θ (2θ from 5° to 70°):
23.98°, I 100, hkl 1 1 1; 27.76°, I 9, hkl 2 0 0; 39.66°, I 85, hkl 2 2 0; 46.88°, I 50, hkl 3 1 1; 57.33°, I 15, hkl 4 0 0; 63.04°, I 21, hkl 3 3 1

Atomic structure:
```
data_Li2TaNb
_space_group_name_H-M_alt 'F -4 3 m'
_space_group_IT_number 216
_space_group_name_Hall 'F -4 2 3'
_cell_length_a 6.4280
_cell_length_b 6.4280
_cell_length_c 6.4280
_cell_angle_alpha 90.00
_cell_angle_beta 90.00
_cell_angle_gamma 90.00
loop_
_atom_site_label
_atom_site_fract_x
_atom_site_fract_y
_atom_site_fract_z
Li1 0.0000 0.0000 0.0000
Li2 0.2500 0.2500 0.2500
Ta1 0.2500 0.2500 0.7500
Nb1 0.0000 0.0000 0.5000
```

---

Entry 4:
Diffraction record for Li2NdNiP2. The PXRD pattern is calculated, not measured: it uses a crystal structure in OQMD, relaxed with GGA-PBE and Cu Kα, 1.54184 Å.
Neutral-atom scattering factors, no anomalous dispersion.

Main lines, in order of rising 2θ (2θ from 5° to 70°):
25.51°, I 73, hkl 1 0 0; 28.99°, I 34, hkl 0 1 1; 37.69°, I 100, hkl 1 0 2; 44.97°, I 41, hkl 1 1 0; 60.08°, I 25, hkl 0 2 2; 62.77°, I 20, hkl 0 1 4

Atomic structure:
```
data_Li2NdNiP2
_space_group_name_H-M_alt 'P -3 m 1'
_space_group_IT_number 164
_space_group_name_Hall '-P 3 2"'
_cell_length_a 4.0314
_cell_length_b 4.0314
_cell_length_c 6.5391
_cell_angle_alpha 90.00
_cell_angle_beta 90.00
_cell_angle_gamma 120.00
loop_
_atom_site_label
_atom_site_fract_x
_atom_site_fract_y
_atom_site_fract_z
Li1 0.3333 0.6667 0.1448
Nd1 0.0000 0.0000 0.5000
Ni1 0.0000 0.0000 0.0000
P1 0.3333 0.6667 0.7765
```

---

Entry 5:
Diffraction record for LiNdO3. The PXRD pattern is calculated, not measured: it uses a crystal structure in OQMD, relaxed with GGA-PBE and Cu Kα, 1.54184 Å.
Neutral-atom scattering factors, no anomalous dispersion.

Main lines, in order of rising 2θ (2θ from 5° to 70°):
21.48°, I 100, hkl 1 0 1; 24.53°, I 25, hkl 0 2 0; 32.83°, I 83, hkl 1 2 1; 39.19°, I 28, hkl 0 2 2; 39.95°, I 27, hkl 2 2 0; 55.24°, I 37, hkl 1 2 3

Atomic structure:
```
data_LiNdO3
_space_group_name_H-M_alt 'P n m a'
_space_group_IT_number 62
_cell_length_a 5.7625
_cell_length_b 7.2578
_cell_length_c 5.9408
_cell_angle_alpha 90.00
_cell_angle_beta 90.00
_cell_angle_gamma 90.00
loop_
_space_group_symop_operation_xyz
'x,y,z'
'-x,-y,-z'
'-x+1/2,-y,z+1/2'
'x+1/2,y,-z+1/2'
'x+1/2,-y+1/2,-z+1/2'
'-x+1/2,y+1/2,z+1/2'
'-x,y+1/2,-z'
'x,-y+1/2,z'
loop_
_atom_site_label
_atom_site_fract_x
_atom_site_fract_y
_atom_site_fract_z
Li1 0.0125 0.2500 0.0634
Nd1 0.0000 0.0000 0.5000
O1 0.1722 0.6471 0.1750
O2 0.1844 0.7500 0.6775
```

---

Entry 6:
Diffraction record for LiNdP4O12. The PXRD pattern is calculated, not measured: it uses a crystal structure in OQMD, relaxed with GGA-PBE and Cu Kα, 1.54184 Å.
Neutral-atom scattering factors, no anomalous dispersion.

Main lines, in order of rising 2θ (2θ from 5° to 70°):
13.48°, I 36, hkl 2 0 0; 15.60°, I 32, hkl 1 1 -1; 20.65°, I 100, hkl 1 1 1; 22.64°, I 36, hkl 4 0 -2; 30.10°, I 28, hkl 3 1 -3; 32.66°, I 26, hkl 2 0 2

Atomic structure:
```
data_LiNdP4O12
_space_group_name_H-M_alt 'C 1 2/c 1'
_space_group_IT_number 15
_cell_length_a 16.3638
_cell_length_b 6.9549
_cell_length_c 9.8484
_cell_angle_alpha 90.00
_cell_angle_beta 126.59
_cell_angle_gamma 90.00
loop_
_space_group_symop_operation_xyz
'x,y,z'
'-x,-y,-z'
'-x,y,-z+1/2'
'x,-y,z+1/2'
'x+1/2,y+1/2,z'
'-x+1/2,-y+1/2,-z'
'-x+1/2,y+1/2,-z+1/2'
'x+1/2,-y+1/2,z+1/2'
loop_
_atom_site_label
_atom_site_fract_x
_atom_site_fract_y
_atom_site_fract_z
Li1 0.0000 0.0000 0.0000
Nd1 0.0000 0.2191 0.2500
P1 0.1331 0.4328 0.6616
P2 0.1522 0.1735 0.0878
O1 0.0598 0.4976 0.1931
O2 0.0769 0.0949 0.9133
O3 0.1075 0.2588 0.5525
O4 0.1255 0.1228 0.2069
O5 0.1646 0.4015 0.0854
O6 0.2377 0.3983 0.8464
```

---

Entry 7:
Diffraction record for LiNdSO. The PXRD pattern is calculated, not measured: it uses a crystal structure in OQMD, relaxed with GGA-PBE and Cu Kα, 1.54184 Å.
Neutral-atom scattering factors, no anomalous dispersion.

Main lines, in order of rising 2θ (2θ from 5° to 70°):
15.32°, I 100, hkl 1 0 0; 25.55°, I 48, hkl 1 1 1; 28.12°, I 70, hkl 0 0 2; 35.29°, I 89, hkl 2 1 -1; 37.93°, I 70, hkl 2 1 1; 38.89°, I 48, hkl 0 2 2

Atomic structure:
```
data_LiNdSO
_space_group_name_H-M_alt 'P 1 21/c 1'
_space_group_IT_number 14
_cell_length_a 5.8174
_cell_length_b 6.7746
_cell_length_c 6.3818
_cell_angle_alpha 90.00
_cell_angle_beta 96.07
_cell_angle_gamma 90.00
loop_
_space_group_symop_operation_xyz
'x,y,z'
'-x,-y,-z'
'-x,y+1/2,-z+1/2'
'x,-y+1/2,z+1/2'
loop_
_atom_site_label
_atom_site_fract_x
_atom_site_fract_y
_atom_site_fract_z
Li1 0.1037 0.2051 0.0266
Nd1 0.3762 0.5615 0.2329
S1 0.1190 0.5798 0.7737
O1 0.4274 0.2252 0.9862
```

---

Entry 8:
Diffraction record for LiNdSO. The PXRD pattern is calculated, not measured: it uses a crystal structure in OQMD, relaxed with GGA-PBE and Cu Kα, 1.54184 Å.
Neutral-atom scattering factors, no anomalous dispersion.

Main lines, in order of rising 2θ (2θ from 5° to 70°):
10.23°, I 100, hkl 0 0 1; 24.79°, I 51, hkl 1 1 1; 30.61°, I 65, hkl 1 1 -2; 30.72°, I 64, hkl 1 1 2; 32.06°, I 47, hkl 2 0 0; 56.25°, I 34, hkl 3 1 -2

Atomic structure:
```
data_LiNdSO
_space_group_name_H-M_alt 'C 1 2 1'
_space_group_IT_number 5
_cell_length_a 5.5797
_cell_length_b 5.5858
_cell_length_c 8.6489
_cell_angle_alpha 90.00
_cell_angle_beta 90.27
_cell_angle_gamma 90.00
loop_
_space_group_symop_operation_xyz
'x,y,z'
'-x,y,-z'
'x+1/2,y+1/2,z'
'-x+1/2,y+1/2,-z'
loop_
_atom_site_label
_atom_site_fract_x
_atom_site_fract_y
_atom_site_fract_z
Li1 0.0000 0.0000 0.0000
Li2 0.0000 0.4992 0.0000
Nd1 0.2492 0.7534 0.3587
S1 0.2490 0.7499 0.8353
O1 0.0000 0.0030 0.5000
O2 0.0000 0.5035 0.5000
```

---

Entry 9:
Diffraction record for LiNdSeO. The PXRD pattern is calculated, not measured: it uses a crystal structure in OQMD, relaxed with GGA-PBE and Cu Kα, 1.54184 Å.
Neutral-atom scattering factors, no anomalous dispersion.

Main lines, in order of rising 2θ (2θ from 5° to 70°):
9.82°, I 38, hkl 0 0 1; 29.79°, I 100, hkl 1 1 -2; 31.46°, I 40, hkl 2 0 0; 37.39°, I 17, hkl 1 1 -3; 45.09°, I 22, hkl 2 2 0; 54.95°, I 27, hkl 3 1 -2

Atomic structure:
```
data_LiNdSeO
_space_group_name_H-M_alt 'C 1 2 1'
_space_group_IT_number 5
_cell_length_a 5.6848
_cell_length_b 5.6900
_cell_length_c 9.0028
_cell_angle_alpha 90.00
_cell_angle_beta 90.20
_cell_angle_gamma 90.00
loop_
_space_group_symop_operation_xyz
'x,y,z'
'-x,y,-z'
'x+1/2,y+1/2,z'
'-x+1/2,y+1/2,-z'
loop_
_atom_site_label
_atom_site_fract_x
_atom_site_fract_y
_atom_site_fract_z
Li1 0.0000 0.0000 0.0000
Li2 0.0000 0.4998 0.0000
Nd1 0.2496 0.2527 0.3677
Se1 0.2497 0.2504 0.8270
O1 0.0000 0.0029 0.5000
O2 0.0000 0.5025 0.5000
```

---

Entry 10:
Diffraction record for LiNdSeO. The PXRD pattern is calculated, not measured: it uses a crystal structure in OQMD, relaxed with GGA-PBE and Cu Kα, 1.54184 Å.
Neutral-atom scattering factors, no anomalous dispersion.

Main lines, in order of rising 2θ (2θ from 5° to 70°):
19.28°, I 43, hkl 1 1 0; 27.37°, I 91, hkl 0 0 2; 30.94°, I 68, hkl 1 2 -1; 32.66°, I 53, hkl 1 2 1; 33.96°, I 100, hkl 2 1 -1; 37.06°, I 71, hkl 2 1 1

Atomic structure:
```
data_LiNdSeO
_space_group_name_H-M_alt 'P 1 21/c 1'
_space_group_IT_number 14
_cell_length_a 5.9556
_cell_length_b 7.3443
_cell_length_c 6.5717
_cell_angle_alpha 90.00
_cell_angle_beta 97.32
_cell_angle_gamma 90.00
loop_
_space_group_symop_operation_xyz
'x,y,z'
'-x,-y,-z'
'-x,y+1/2,-z+1/2'
'x,-y+1/2,z+1/2'
loop_
_atom_site_label
_atom_site_fract_x
_atom_site_fract_y
_atom_site_fract_z
Li1 0.1234 0.2390 0.4834
Nd1 0.3869 0.5968 0.7596
Se1 0.1260 0.5591 0.2836
O1 0.4295 0.1904 0.4350
```

---

Entry 11:
Diffraction record for LiNdZnO3. The PXRD pattern is calculated, not measured: it uses a crystal structure in OQMD, relaxed with GGA-PBE and Cu Kα, 1.54184 Å.
Neutral-atom scattering factors, no anomalous dispersion.

Main lines, in order of rising 2θ (2θ from 5° to 70°):
16.05°, I 71, hkl 0 0 2; 23.08°, I 63, hkl 0 2 1; 29.89°, I 54, hkl 1 1 1; 32.65°, I 47, hkl 0 2 3; 33.10°, I 100, hkl 1 1 2; 43.41°, I 56, hkl 1 3 1

Atomic structure:
```
data_LiNdZnO3
_space_group_name_H-M_alt 'C m c 21'
_space_group_IT_number 36
_cell_length_a 3.3536
_cell_length_b 8.2258
_cell_length_c 11.0415
_cell_angle_alpha 90.00
_cell_angle_beta 90.00
_cell_angle_gamma 90.00
loop_
_space_group_symop_operation_xyz
'x,y,z'
'-x,-y,z+1/2'
'-x,y,z'
'x,-y,z+1/2'
'x+1/2,y+1/2,z'
'-x+1/2,-y+1/2,z+1/2'
'-x+1/2,y+1/2,z'
'x+1/2,-y+1/2,z+1/2'
loop_
_atom_site_label
_atom_site_fract_x
_atom_site_fract_y
_atom_site_fract_z
Li1 0.0000 0.1754 0.0000
Nd1 0.0000 0.4163 0.8224
Zn1 0.0000 0.1281 0.6394
O1 0.0000 0.1259 0.8152
O2 0.0000 0.1336 0.1669
O3 0.0000 0.1673 0.4726
```

---

Entry 12:
Diffraction record for Li3PrNd2Pb3. The PXRD pattern is calculated, not measured: it uses a crystal structure in OQMD, relaxed with GGA-PBE and Cu Kα, 1.54184 Å.
Neutral-atom scattering factors, no anomalous dispersion.

Main lines, in order of rising 2θ (2θ from 5° to 70°):
22.57°, I 43, hkl 1 0 1; 26.26°, I 36, hkl 1 0 2; 31.51°, I 100, hkl 1 0 3; 37.18°, I 62, hkl 1 1 0; 49.51°, I 29, hkl 2 0 3; 61.45°, I 28, hkl 1 1 6

Atomic structure:
```
data_Li3PrNd2Pb3
_space_group_name_H-M_alt 'P -6 m 2'
_space_group_IT_number 187
_space_group_name_Hall 'P -6 2'
_cell_length_a 4.8369
_cell_length_b 4.8369
_cell_length_c 11.5848
_cell_angle_alpha 90.00
_cell_angle_beta 90.00
_cell_angle_gamma 120.00
loop_
_atom_site_label
_atom_site_fract_x
_atom_site_fract_y
_atom_site_fract_z
Li1 0.0000 0.0000 0.0000
Li2 0.6667 0.3333 0.3112
Pr1 0.3333 0.6667 0.5000
Nd1 0.3333 0.6667 0.1641
Pb1 0.0000 0.0000 0.3275
Pb2 0.6667 0.3333 0.0000
```